For Li4Mn3F10, a cell relaxed with PBE+U gives the simulated powder XRD pattern in this record (Cu Ka).
Lines closer than 0.1° are merged.

Cell and atoms:
Cell lengths 9.904, 9.904, 5.233 Å; angles 96.39, 96.39, 110.27 degrees
Sites, in units of the cell vectors:
Li 0.082 0.918 0.750
Li 0.112 0.613 0.669
Li 0.221 0.779 0.250
Li 0.387 0.888 0.831
Li 0.613 0.112 0.169
Li 0.779 0.221 0.750
Li 0.888 0.387 0.331
Li 0.918 0.082 0.250
Mn 0.111 0.274 0.842
Mn 0.274 0.111 0.342
Mn 0.400 0.600 0.250
Mn 0.600 0.400 0.750
Mn 0.726 0.889 0.658
Mn 0.889 0.726 0.158
F 0.028 0.407 0.655
F 0.071 0.763 0.953
F 0.095 0.146 0.486
F 0.146 0.095 0.986
F 0.237 0.929 0.547
F 0.277 0.667 0.489
F 0.316 0.404 0.026
F 0.333 0.723 0.011
F 0.404 0.316 0.526
F 0.407 0.028 0.155
F 0.593 0.972 0.845
F 0.596 0.684 0.474
F 0.667 0.277 0.989
F 0.684 0.596 0.974
F 0.723 0.333 0.511
F 0.763 0.071 0.453
F 0.854 0.905 0.014
F 0.905 0.854 0.514
F 0.929 0.237 0.047
F 0.972 0.593 0.345

Most intense lines, 5° ≤ 2θ ≤ 70°, in order of rising 2θ:
two_theta	I/Imax
10.89	40.2
23.86	44.3
24.10	100.0
24.66	65.0
28.10	78.3
48.01	29.8